Structure and computed powder X-ray diffraction pattern of LiMn2B8O14 (DFT lattice parameters and positions (GGA+U); λ = 1.5418 Å (Cu Kα)).

Structural model:
```
data_LiMn2B8O14
_symmetry_space_group_name_H-M 'C 1 2 1'
_symmetry_Int_Tables_number 5
_cell_length_a 7.111
_cell_length_b 11.269
_cell_length_c 5.176
_cell_angle_alpha 90.00
_cell_angle_beta 90.64
_cell_angle_gamma 90.00
loop_
_symmetry_equiv_pos_as_xyz
'x,y,z'
'-x,y,-z'
'x+1/2,y+1/2,z'
'-x+1/2,y+1/2,-z'
loop_
_atom_site_label
_atom_site_fract_x
_atom_site_fract_y
_atom_site_fract_z
_atom_site_occupancy
Li1 0.000 0.000 0.000 1
Mn1 0.163 0.563 0.726 1
B1 0.000 0.338 0.500 1
B2 0.000 0.341 0.000 1
B3 0.000 0.777 0.000 1
B4 0.000 0.784 0.500 1
B5 0.224 0.181 0.748 1
B6 0.236 0.945 0.742 1
O1 0.028 0.855 0.754 1
O2 0.032 0.266 0.752 1
O3 0.146 0.061 0.736 1
O4 0.164 0.421 0.025 1
O5 0.166 0.414 0.481 1
O6 0.166 0.701 0.022 1
O7 0.169 0.710 0.477 1
```

The 10 most intense peaks (2θ from 5° to 70°), by intensity:
Position (°2θ)  Rel. int.
14.7  100
29.7  83
44.5  78
38.8  65
30.7  62
31.9  58
47.7  58
34.6  56
38.3  48
32.1  44


Structure and computed powder X-ray diffraction pattern of Li5Mn3B4O12 (DFT lattice parameters and positions (GGA+U); λ = 1.5418 Å (Cu Kα)).

Structural model:
```
data_Li5Mn3B4O12
_symmetry_space_group_name_H-M 'P 1 c 1'
_symmetry_Int_Tables_number 7
_cell_length_a 5.289
_cell_length_b 9.185
_cell_length_c 11.045
_cell_angle_alpha 90.00
_cell_angle_beta 116.79
_cell_angle_gamma 90.00
loop_
_symmetry_equiv_pos_as_xyz
'x,y,z'
'x,-y,z+1/2'
loop_
_atom_site_label
_atom_site_fract_x
_atom_site_fract_y
_atom_site_fract_z
_atom_site_occupancy
Li1 0.000 0.076 0.000 1
Li2 0.043 0.234 0.539 1
Li3 0.053 0.261 0.219 1
Li4 0.082 0.418 0.746 1
Li5 0.579 0.249 0.730 1
Mn1 0.480 0.240 0.980 1
Mn2 0.520 0.421 0.496 1
Mn3 0.573 0.073 0.255 1
B1 0.002 0.425 0.997 1
B2 0.083 0.078 0.755 1
B3 0.508 0.092 0.505 1
B4 0.570 0.415 0.236 1
O1 0.152 0.057 0.221 1
O2 0.217 0.423 0.956 1
O3 0.244 0.203 0.760 1
O4 0.381 0.417 0.294 1
O5 0.386 0.221 0.519 1
O6 0.409 0.037 0.035 1
O7 0.649 0.453 0.698 1
O8 0.670 0.286 0.211 1
O9 0.725 0.092 0.467 1
O10 0.859 0.093 0.786 1
O11 0.883 0.295 0.007 1
O12 0.925 0.440 0.529 1
```

The 10 most intense peaks (2θ from 5° to 70°), by intensity:
Position (°2θ)  Rel. int.
33.9  100
18.8  94
36.5  82
20.4  54
19.3  36
30.6  35
53.5  29
40.2  29
60.6  22
51.0  20